Tb8Pm3Pr: simulated PXRD pattern (copper Kα), based on a cell relaxed with PBE.
Lines closer than 0.1° are merged.

Most intense lines, 10 to 80 degrees two-theta, by angle:
two_theta  intensity
27.15  17
31.05  51
31.34  100
31.75  67
35.03  21
35.50  39
51.20  22
55.44  17
56.00  19
65.42  24

Atomic structure:
```
Tb8Pm3Pr
1.0
-3.234 5.719 5.760
3.234 -5.719 5.760
3.234 5.719 -5.760
Tb Pm Pr
8 3 1
Direct
0.080 0.250 0.830
0.252 0.249 0.501
0.252 0.751 0.004
0.420 0.250 0.170
0.580 0.750 0.830
0.748 0.249 0.996
0.748 0.751 0.499
0.920 0.750 0.170
0.252 0.752 0.500
0.500 0.500 0.000
0.748 0.248 0.500
0.000 0.000 0.000
```